For Na2FeH8S2O12, a PBE+U-relaxed structure gives the computed powder XRD pattern in this record (CuKα).
Kinematic intensities with the Lorentz-polarization factor, no thermal factor.

Cell and atoms:
```
Na2FeH8S2O12
1.0
5.6147 0.0000 0.0000
0.0000 8.2795 0.0000
-2.0461 0.0000 11.1589
Na Fe H S O
4 2 16 4 24
direct
0.1307 0.0698 0.3625
0.1307 0.4302 0.8625
0.8693 0.5698 0.1375
0.8693 0.9302 0.6375
0.0000 0.0000 0.0000
0.0000 0.5000 0.5000
0.2260 0.6400 0.3413
0.2260 0.8600 0.8413
0.2291 0.0516 0.8135
0.2291 0.4484 0.3135
0.2366 0.7152 0.0261
0.2366 0.7848 0.5261
0.3215 0.7008 0.6485
0.3215 0.7992 0.1485
0.6785 0.2008 0.8515
0.6785 0.2992 0.3515
0.7634 0.2152 0.4739
0.7634 0.2848 0.9739
0.7709 0.5516 0.6865
0.7709 0.9484 0.1865
0.7740 0.1400 0.1587
0.7740 0.3600 0.6587
0.3731 0.2124 0.6346
0.3731 0.2876 0.1346
0.6269 0.7124 0.8654
0.6269 0.7876 0.3654
0.1268 0.5392 0.3335
0.1268 0.9608 0.8335
0.1747 0.7207 0.5870
0.1747 0.7793 0.0870
0.2124 0.0836 0.5765
0.2124 0.4164 0.0765
0.3126 0.1293 0.0730
0.3126 0.3707 0.5730
0.3541 0.2260 0.7651
0.3541 0.2740 0.2651
0.3664 0.6767 0.8715
0.3664 0.8233 0.3715
0.6336 0.1767 0.6285
0.6336 0.3233 0.1285
0.6459 0.7260 0.7349
0.6459 0.7740 0.2349
0.6874 0.6293 0.4270
0.6874 0.8707 0.9270
0.7876 0.5836 0.9235
0.7876 0.9164 0.4235
0.8253 0.2207 0.9130
0.8253 0.2793 0.4130
0.8732 0.0392 0.1665
0.8732 0.4608 0.6665
```

The 10 most intense peaks (2θ from 15° to 90°), low angle first:
index	d (Å)	2θ (°)	I (rel.)
0 1 2	4.627	19.18	38
1 1 0	4.594	19.32	22
1 0 -2	4.335	20.49	32
1 1 1	4.040	22.00	15
1 1 -2	3.841	23.16	16
0 1 3	3.393	26.27	16
1 2 0	3.312	26.92	100
1 2 -1	3.274	27.24	17
1 2 2	2.722	32.91	13
1 0 -4	2.693	33.26	23

For LiFe2Si2O7, a PBE+U-relaxed structure gives the computed powder XRD pattern in this record (CuKα).
Kinematic intensities with the Lorentz-polarization factor, no thermal factor.

Cell and atoms:
```
LiFe2Si2O7
1.0
5.6663 0.0000 0.0000
0.0000 12.9919 0.0000
-5.4649 0.0000 8.8905
Li Fe Si O
4 8 8 28
direct
0.0648 0.2265 0.3763
0.0648 0.2735 0.8763
0.9352 0.7265 0.1237
0.9352 0.7735 0.6237
0.1532 0.5070 0.7779
0.1532 0.9930 0.2779
0.4683 0.1016 0.1243
0.4683 0.3984 0.6243
0.5317 0.6016 0.3757
0.5317 0.8984 0.8757
0.8468 0.0070 0.7221
0.8468 0.4930 0.2221
0.2079 0.6152 0.5270
0.2079 0.8848 0.0270
0.3685 0.6653 0.0497
0.3685 0.8347 0.5497
0.6315 0.1653 0.4503
0.6315 0.3347 0.9503
0.7921 0.1152 0.9730
0.7921 0.3848 0.4730
0.0841 0.1600 0.0051
0.0841 0.3400 0.5051
0.1461 0.6216 0.8819
0.1461 0.8784 0.3819
0.1958 0.5413 0.3933
0.1958 0.9587 0.8933
0.2681 0.6555 0.1685
0.2681 0.8445 0.6685
0.3242 0.1148 0.3887
0.3242 0.3852 0.8887
0.3515 0.5427 0.6795
0.3515 0.9573 0.1795
0.4184 0.7079 0.5340
0.4184 0.7921 0.0340
0.5816 0.2079 0.9660
0.5816 0.2921 0.4660
0.6485 0.0427 0.8205
0.6485 0.4573 0.3205
0.6758 0.6148 0.1113
0.6758 0.8852 0.6113
0.7319 0.1555 0.3315
0.7319 0.3445 0.8315
0.8042 0.0413 0.1067
0.8042 0.4587 0.6067
0.8539 0.1216 0.6181
0.8539 0.3784 0.1181
0.9159 0.6600 0.4949
0.9159 0.8400 0.9949
```

The 10 most intense peaks (2θ from 15° to 90°), low angle first:
index	d (Å)	2θ (°)	I (rel.)
0 2 1	5.245	16.90	69
1 1 -1	5.193	17.08	56
1 1 0	4.525	19.62	61
1 2 -1	4.269	20.81	48
0 2 2	3.669	24.26	92
1 1 1	3.412	26.12	71
0 3 2	3.104	28.76	48
1 3 -3	2.701	33.17	54
2 1 -3	2.624	34.17	100
1 0 -4	2.601	34.48	36

For Li3Mn4B4O12, a PBE+U-relaxed structure gives the computed powder XRD pattern in this record (CuKα).
Kinematic intensities with the Lorentz-polarization factor, no thermal factor.

Cell and atoms:
```
Li3Mn4B4O12
1.0
7.8634 0.0000 0.0000
0.9011 7.8804 0.0000
3.0059 2.8427 8.1164
Li Mn B O
6 8 8 24
direct
0.0000 0.0000 0.0000
0.0943 0.2693 0.0580
0.2476 0.7478 0.5052
0.3447 0.0243 0.5567
0.5121 0.5079 0.0068
0.7634 0.2565 0.5029
0.1318 0.3017 0.6934
0.2078 0.7178 0.8614
0.3969 0.0356 0.1939
0.4530 0.4781 0.3559
0.6486 0.7911 0.7041
0.6999 0.2307 0.8571
0.8837 0.5546 0.2076
0.9597 0.9634 0.3593
0.1387 0.2908 0.3653
0.2106 0.7177 0.1885
0.3841 0.0552 0.8625
0.4666 0.4734 0.6865
0.6149 0.7879 0.3888
0.7199 0.2259 0.1848
0.8733 0.5288 0.8882
0.9613 0.9736 0.6893
0.0002 0.5108 0.9700
0.0923 0.7588 0.0941
0.1118 0.8668 0.6628
0.1679 0.1885 0.2617
0.1929 0.8114 0.2966
0.2287 0.1542 0.8942
0.2605 0.2711 0.4573
0.3435 0.5927 0.1688
0.3458 0.5051 0.5951
0.4121 0.9492 0.7634
0.4484 0.5736 0.7907
0.4690 0.9011 0.4042
0.5100 0.0494 0.9451
0.5995 0.3472 0.6705
0.6048 0.2539 0.0878
0.6390 0.6726 0.2972
0.6838 0.3190 0.2962
0.7370 0.6494 0.8992
0.7384 0.7816 0.4684
0.8438 0.9988 0.5966
0.8663 0.1154 0.1612
0.8886 0.4101 0.7990
0.9302 0.0701 0.7972
0.9899 0.3949 0.3922
```

The 10 most intense peaks (2θ from 15° to 90°), low angle first:
index	d (Å)	2θ (°)	I (rel.)
1 -1 1	4.387	20.24	71
1 1 2	4.288	20.71	21
0 0 2	4.058	21.90	37
0 2 1	3.905	22.77	57
0 2 3	2.642	33.93	22
2 2 0	2.626	34.14	100
2 0 3	2.607	34.40	20
1 1 4	2.271	39.69	20
-2 2 2	2.219	40.65	28
2 4 1	1.787	51.11	20

For Ni3P4O16, a PBE+U-relaxed structure gives the computed powder XRD pattern in this record (CuKα).
Kinematic intensities with the Lorentz-polarization factor, no thermal factor.

Cell and atoms:
```
Ni3P4O16
1.0
7.6785 0.0000 0.0000
0.0000 7.8099 0.0000
-0.4048 0.0000 10.3464
Ni P O
6 8 32
direct
0.1508 0.0000 0.3255
0.2489 0.6370 0.8703
0.2522 0.6214 0.3791
0.7478 0.1214 0.6209
0.7511 0.1370 0.1297
0.8492 0.5000 0.6745
0.0516 0.8211 0.1154
0.0635 0.8407 0.6106
0.4320 0.4411 0.1318
0.4481 0.4275 0.6362
0.5519 0.9275 0.3638
0.5680 0.9411 0.8682
0.9365 0.3407 0.3894
0.9484 0.3211 0.8846
0.0086 0.5193 0.3629
0.0146 0.4991 0.8332
0.0907 0.1844 0.9006
0.0956 0.2183 0.3916
0.1182 0.8211 0.9775
0.1466 0.8357 0.4744
0.1966 0.7879 0.2231
0.2035 0.7820 0.7101
0.2933 0.5027 0.0337
0.3052 0.4794 0.5366
0.3632 0.4366 0.2696
0.3800 0.4532 0.7731
0.3965 0.0560 0.3632
0.4200 0.0788 0.8577
0.4760 0.7765 0.9077
0.4945 0.7427 0.3878
0.5055 0.2427 0.6122
0.5240 0.2765 0.0923
0.5800 0.5788 0.1423
0.6035 0.5560 0.6368
0.6200 0.9532 0.2269
0.6368 0.9366 0.7304
0.6948 0.9794 0.4634
0.7067 0.0027 0.9663
0.7965 0.2820 0.2899
0.8034 0.2879 0.7769
0.8534 0.3357 0.5256
0.8818 0.3211 0.0225
0.9044 0.7183 0.6084
0.9093 0.6844 0.0994
0.9854 0.9991 0.1668
0.9914 0.0193 0.6371
```

The 10 most intense peaks (2θ from 15° to 90°), low angle first:
index	d (Å)	2θ (°)	I (rel.)
1 1 0	5.473	16.19	100
1 0 -2	4.369	20.33	30
1 0 2	4.214	21.08	37
1 1 -2	3.813	23.33	63
1 1 2	3.708	24.00	36
2 1 0	3.444	25.87	63
1 2 -2	2.912	30.70	60
2 2 0	2.737	32.72	23
0 0 4	2.586	34.68	31
0 3 2	2.326	38.71	30

For LiFeSbO4, a PBE+U-relaxed structure gives the computed powder XRD pattern in this record (CuKα).
Kinematic intensities with the Lorentz-polarization factor, no thermal factor.

Cell and atoms:
```
LiFeSbO4
1.0
6.2141 0.0000 0.0000
0.0000 6.2141 0.0000
0.0000 0.0000 8.5993
Li Fe Sb O
4 4 4 16
direct
0.0000 0.2134 0.0000
0.0000 0.7866 0.5000
0.2134 0.0000 0.2500
0.7866 0.0000 0.7500
0.2425 0.2425 0.6250
0.2425 0.7575 0.8750
0.7575 0.2425 0.3750
0.7575 0.7575 0.1250
0.2340 0.5000 0.2500
0.5000 0.2340 0.0000
0.5000 0.7660 0.5000
0.7660 0.5000 0.7500
0.0254 0.2648 0.2517
0.0254 0.7352 0.2483
0.2648 0.0254 0.9983
0.2648 0.9746 0.5017
0.2709 0.4786 0.0144
0.2709 0.5214 0.4856
0.4786 0.2709 0.2356
0.4786 0.7291 0.2644
0.5214 0.2709 0.7644
0.5214 0.7291 0.7356
0.7291 0.4786 0.9856
0.7291 0.5214 0.5144
0.7352 0.0254 0.0017
0.7352 0.9746 0.4983
0.9746 0.2648 0.7483
0.9746 0.7352 0.7517
```

The 10 most intense peaks (2θ from 15° to 90°), low angle first:
index	d (Å)	2θ (°)	I (rel.)
1 1 1	3.913	22.73	100
1 0 2	3.536	25.19	48
1 1 2	3.073	29.06	26
2 1 1	2.644	33.90	96
1 0 3	2.603	34.46	50
3 1 1	1.916	47.46	21
3 2 1	1.690	54.28	30
1 1 5	1.600	57.59	22
4 0 0	1.554	59.50	22
2 2 4	1.537	60.23	45